[1]
This entry pairs a crystal structure of Rb3Ti2Br9 with its simulated powder X-ray diffraction pattern. Radiation: λ = 1.5418 Å (Cu Kα). Structure: a GGA-PBE-relaxed structure.
Intensities are scaled so that the largest is 1000.

Atomic structure:
abc: 9.9574 9.9574 9.9574
angles: 81.89 81.89 81.89
Fractional positions:
1 Rb 0.0915 0.7500 0.4085
2 Rb 0.2500 0.5915 0.9085
3 Rb 0.4085 0.0915 0.7500
4 Rb 0.5915 0.9085 0.2500
5 Rb 0.7500 0.4085 0.0915
6 Rb 0.9085 0.2500 0.5915
7 Ti 0.1673 0.1673 0.1673
8 Ti 0.3327 0.3327 0.3327
9 Ti 0.6673 0.6673 0.6673
10 Ti 0.8327 0.8327 0.8327
11 Br 0.0658 0.9027 0.7366
12 Br 0.0886 0.4114 0.2500
13 Br 0.0973 0.2634 0.9342
14 Br 0.2366 0.4027 0.5658
15 Br 0.2500 0.0886 0.4114
16 Br 0.2634 0.9342 0.0973
17 Br 0.4027 0.5658 0.2366
18 Br 0.4114 0.2500 0.0886
19 Br 0.4342 0.7634 0.5973
20 Br 0.5658 0.2366 0.4027
21 Br 0.5886 0.7500 0.9114
22 Br 0.5973 0.4342 0.7634
23 Br 0.7366 0.0658 0.9027
24 Br 0.7500 0.9114 0.5886
25 Br 0.7634 0.5973 0.4342
26 Br 0.9027 0.7366 0.0658
27 Br 0.9114 0.5886 0.7500
28 Br 0.9342 0.0973 0.2634

Main lines, in order of rising 2θ (2θ from 10° to 90°):
27.37°, I 362
30.65°, I 1000
39.09°, I 215
48.31°, I 219
50.51°, I 174
56.43°, I 177
58.31°, I 151
79.03°, I 123

[2]
This entry pairs a crystal structure of RbTi2Br8 with its simulated powder X-ray diffraction pattern. Radiation: λ = 1.5418 Å (Cu Kα). Structure: a GGA-PBE-relaxed structure.
Intensities are scaled so that the largest is 1000.

Atomic structure:
abc: 8.5043 8.5043 7.8258
angles: 90.00 90.00 120.00
Fractional positions:
1 Rb 0.0000 0.0000 0.0000
2 Ti 0.3333 0.6667 0.1960
3 Ti 0.6667 0.3333 0.8040
4 Br 0.1803 0.3622 0.3002
5 Br 0.1819 0.8197 0.3002
6 Br 0.3333 0.6667 0.8938
7 Br 0.3622 0.1819 0.6998
8 Br 0.6378 0.8181 0.3002
9 Br 0.6667 0.3333 0.1062
10 Br 0.8181 0.1803 0.6998
11 Br 0.8197 0.6378 0.6998

Main lines, in order of rising 2θ (2θ from 10° to 90°):
16.53°, I 475
23.82°, I 699
24.17°, I 311
26.76°, I 1000
33.41°, I 373
36.55°, I 319
42.52°, I 527
47.78°, I 330

[3]
This entry pairs a crystal structure of Rb4TiBr5 with its simulated powder X-ray diffraction pattern. Radiation: λ = 1.5418 Å (Cu Kα). Structure: a GGA-PBE-relaxed structure.
Intensities are scaled so that the largest is 1000.

Atomic structure:
abc: 8.2520 8.2520 8.2520
angles: 100.20 100.20 130.22
Fractional positions:
1 Rb 0.0941 0.2971 0.3911
2 Rb 0.2971 0.9059 0.2030
3 Rb 0.7029 0.0941 0.7970
4 Rb 0.9059 0.7029 0.6089
5 Ti 0.5345 0.5345 0.0000
6 Br 0.2441 0.5830 0.8278
7 Br 0.4163 0.2441 0.6611
8 Br 0.5830 0.7552 0.3389
9 Br 0.7552 0.4163 0.1722
10 Br 0.9332 0.9332 0.0000

Main lines, in order of rising 2θ (2θ from 10° to 90°):
25.65°, I 567
26.63°, I 1000
37.31°, I 799
38.01°, I 309
46.42°, I 309
57.27°, I 116
60.02°, I 165
68.21°, I 108

[4]
This entry pairs a crystal structure of Rb5Ti2Br12 with its simulated powder X-ray diffraction pattern. Radiation: λ = 1.5418 Å (Cu Kα). Structure: a GGA-PBE-relaxed structure.
Intensities are scaled so that the largest is 1000.

Atomic structure:
abc: 10.2122 10.2122 11.4359
angles: 107.10 107.10 45.46
Fractional positions:
1 Rb 0.0000 0.0000 0.0000
2 Rb 0.3030 0.3030 0.1163
3 Rb 0.3152 0.3152 0.6750
4 Rb 0.6848 0.6848 0.3250
5 Rb 0.6970 0.6970 0.8837
6 Ti 0.2394 0.7606 0.5000
7 Ti 0.7606 0.2394 0.5000
8 Br 0.0044 0.0044 0.6609
9 Br 0.0945 0.6001 0.9116
10 Br 0.1094 0.6135 0.4357
11 Br 0.3865 0.8906 0.5643
12 Br 0.3999 0.9055 0.0884
13 Br 0.4959 0.4959 0.3459
14 Br 0.5041 0.5041 0.6541
15 Br 0.6001 0.0945 0.9116
16 Br 0.6135 0.1094 0.4357
17 Br 0.8906 0.3865 0.5643
18 Br 0.9055 0.3999 0.0884
19 Br 0.9956 0.9956 0.3391

Main lines, in order of rising 2θ (2θ from 10° to 90°):
18.67°, I 478
19.17°, I 505
27.92°, I 1000
30.03°, I 642
30.23°, I 779
31.27°, I 872
31.50°, I 423
33.63°, I 370

[5]
This entry pairs a crystal structure of Rb2Ti3Br8 with its simulated powder X-ray diffraction pattern. Radiation: λ = 1.5418 Å (Cu Kα). Structure: a GGA-PBE-relaxed structure.
Intensities are scaled so that the largest is 1000.

Atomic structure:
abc: 9.0466 9.0466 7.1931
angles: 104.93 104.93 50.25
Fractional positions:
1 Rb 0.2376 0.2376 0.1847
2 Rb 0.7624 0.7624 0.8153
3 Ti 0.2690 0.7310 0.5000
4 Ti 0.5000 0.5000 0.0000
5 Ti 0.7310 0.2690 0.5000
6 Br 0.0992 0.0992 0.4489
7 Br 0.1716 0.6470 0.1221
8 Br 0.3530 0.8284 0.8779
9 Br 0.3998 0.3998 0.6178
10 Br 0.6002 0.6002 0.3822
11 Br 0.6470 0.1716 0.1221
12 Br 0.8284 0.3530 0.8779
13 Br 0.9008 0.9008 0.5511

Main lines, in order of rising 2θ (2θ from 10° to 90°):
11.27°, I 484
19.31°, I 272
27.43°, I 287
29.21°, I 348
30.39°, I 508
31.16°, I 620
32.62°, I 1000
44.55°, I 464

[6]
This entry pairs a crystal structure of Rb3Tl2Br5 with its simulated powder X-ray diffraction pattern. Radiation: λ = 1.5418 Å (Cu Kα). Structure: a GGA-PBE-relaxed structure.
Intensities are scaled so that the largest is 1000.

Atomic structure:
abc: 8.4510 8.4510 11.9315
angles: 117.99 117.99 33.61
Fractional positions:
1 Rb 0.0000 0.0000 0.0000
2 Rb 0.2006 0.2006 0.7955
3 Rb 0.7994 0.7994 0.2045
4 Tl 0.4011 0.4011 0.5987
5 Tl 0.5989 0.5989 0.4013
6 Br 0.0000 0.0000 0.5000
7 Br 0.1978 0.1978 0.3073
8 Br 0.4013 0.4013 0.1042
9 Br 0.5987 0.5987 0.8958
10 Br 0.8022 0.8022 0.6927

Main lines, in order of rising 2θ (2θ from 10° to 90°):
25.80°, I 506
25.82°, I 1000
36.81°, I 977
45.47°, I 217
53.07°, I 201
59.87°, I 282
59.98°, I 274
66.31°, I 240

[7]
This entry pairs a crystal structure of RbTl2Br3 with its simulated powder X-ray diffraction pattern. Radiation: λ = 1.5418 Å (Cu Kα). Structure: a GGA-PBE-relaxed structure.
Intensities are scaled so that the largest is 1000.

Atomic structure:
abc: 8.3661 8.3661 8.3661
angles: 146.39 131.85 60.00
Fractional positions:
1 Rb 0.0000 0.0000 0.0000
2 Tl 0.3341 0.3341 0.0000
3 Tl 0.6659 0.6659 0.0000
4 Br 0.1721 0.6721 0.5000
5 Br 0.5000 0.0000 0.5000
6 Br 0.8279 0.3279 0.5000

Main lines, in order of rising 2θ (2θ from 10° to 90°):
22.54°, I 193
26.08°, I 1000
37.22°, I 783
43.95°, I 110
46.01°, I 285
53.65°, I 136
60.62°, I 313
67.10°, I 231

[8]
This entry pairs a crystal structure of Rb3TlBr4 with its simulated powder X-ray diffraction pattern. Radiation: λ = 1.5418 Å (Cu Kα). Structure: a GGA-PBE-relaxed structure.
Intensities are scaled so that the largest is 1000.

Atomic structure:
abc: 8.5036 8.5036 8.5036
angles: 131.88 131.88 70.43
Fractional positions:
1 Rb 0.0000 0.0000 0.0000
2 Rb 0.2500 0.7500 0.5000
3 Rb 0.7500 0.2500 0.5000
4 Tl 0.5000 0.5000 0.0000
5 Br 0.0000 0.5000 0.5000
6 Br 0.2550 0.2550 0.0000
7 Br 0.5000 0.0000 0.5000
8 Br 0.7450 0.7450 0.0000

Main lines, in order of rising 2θ (2θ from 10° to 90°):
14.27°, I 109
25.68°, I 1000
36.63°, I 778
45.27°, I 282
59.57°, I 246
59.63°, I 124
65.95°, I 273
83.62°, I 168

[9]
This entry pairs a crystal structure of Rb3TlBr6 with its simulated powder X-ray diffraction pattern. Radiation: λ = 1.5418 Å (Cu Kα). Structure: a GGA-PBE-relaxed structure.
Intensities are scaled so that the largest is 1000.

Atomic structure:
abc: 8.5028 8.5028 8.5028
angles: 60.00 60.00 60.00
Fractional positions:
1 Rb 0.0000 0.0000 0.0000
2 Rb 0.2500 0.2500 0.2500
3 Rb 0.7500 0.7500 0.7500
4 Tl 0.5000 0.5000 0.5000
5 Br 0.2691 0.2691 0.7309
6 Br 0.2691 0.7309 0.2691
7 Br 0.2691 0.7309 0.7309
8 Br 0.7309 0.2691 0.2691
9 Br 0.7309 0.2691 0.7309
10 Br 0.7309 0.7309 0.2691

Main lines, in order of rising 2θ (2θ from 10° to 90°):
12.75°, I 317
14.73°, I 481
20.89°, I 499
25.66°, I 307
29.72°, I 1000
42.53°, I 711
52.74°, I 240
69.98°, I 287

[10]
This entry pairs a crystal structure of RbTl6Br8 with its simulated powder X-ray diffraction pattern. Radiation: λ = 1.5418 Å (Cu Kα). Structure: a GGA-PBE-relaxed structure.
Intensities are scaled so that the largest is 1000.

Atomic structure:
abc: 11.6799 11.6799 4.8884
angles: 90.00 90.00 120.00
Fractional positions:
1 Rb 0.0000 0.0000 0.0000
2 Tl 0.1296 0.6645 0.7492
3 Tl 0.3355 0.4651 0.7492
4 Tl 0.4651 0.1296 0.2508
5 Tl 0.5349 0.8704 0.7492
6 Tl 0.6645 0.5349 0.2508
7 Tl 0.8704 0.3355 0.2508
8 Br 0.0297 0.3070 0.7512
9 Br 0.2773 0.9703 0.7512
10 Br 0.3070 0.2773 0.2488
11 Br 0.3333 0.6667 0.2491
12 Br 0.6667 0.3333 0.7509
13 Br 0.6930 0.7227 0.7512
14 Br 0.7227 0.0297 0.2488
15 Br 0.9703 0.6930 0.2488

Main lines, in order of rising 2θ (2θ from 10° to 90°):
20.18°, I 355
23.27°, I 574
25.34°, I 240
29.66°, I 1000
31.90°, I 242
35.82°, I 516
36.77°, I 205
43.97°, I 203

What is the formula in the fifth record?
Rb2Ti3Br8

Copy entry 10 word for word.
This entry pairs a crystal structure of RbTl6Br8 with its simulated powder X-ray diffraction pattern. Radiation: λ = 1.5418 Å (Cu Kα). Structure: a GGA-PBE-relaxed structure.
Intensities are scaled so that the largest is 1000.

Atomic structure:
abc: 11.6799 11.6799 4.8884
angles: 90.00 90.00 120.00
Fractional positions:
1 Rb 0.0000 0.0000 0.0000
2 Tl 0.1296 0.6645 0.7492
3 Tl 0.3355 0.4651 0.7492
4 Tl 0.4651 0.1296 0.2508
5 Tl 0.5349 0.8704 0.7492
6 Tl 0.6645 0.5349 0.2508
7 Tl 0.8704 0.3355 0.2508
8 Br 0.0297 0.3070 0.7512
9 Br 0.2773 0.9703 0.7512
10 Br 0.3070 0.2773 0.2488
11 Br 0.3333 0.6667 0.2491
12 Br 0.6667 0.3333 0.7509
13 Br 0.6930 0.7227 0.7512
14 Br 0.7227 0.0297 0.2488
15 Br 0.9703 0.6930 0.2488

Main lines, in order of rising 2θ (2θ from 10° to 90°):
20.18°, I 355
23.27°, I 574
25.34°, I 240
29.66°, I 1000
31.90°, I 242
35.82°, I 516
36.77°, I 205
43.97°, I 203